Starting from a DFT-relaxed cell (GGA+U, Alexandria), the PXRD pattern of Na2PaV3O8 was calculated for λ = 1.5418 Å (Cu Kα).
Peak positions follow from Bragg's law for the DFT cell and can differ from measured ones.

Top 8 peaks for 10 to 90 degrees two-theta, by intensity:
15.23 deg, I = 100
38.94 deg, I = 46
19.19 deg, I = 39
33.25 deg, I = 36
17.03 deg, I = 34
28.34 deg, I = 23
26.16 deg, I = 20
34.45 deg, I = 18

Structure:
```
Na2PaV3O8
1.0
3.149 1.818 5.817
-3.149 1.818 5.817
0.000 -3.637 5.817
Na Pa V O
2 1 3 8
direct
0.000 0.000 0.000 Na
0.339 0.339 0.339 Na
0.514 0.514 0.514 Pa
0.502 0.993 0.993 V
0.993 0.502 0.993 V
0.993 0.993 0.502 V
0.204 0.744 0.744 O
0.215 0.215 0.215 O
0.273 0.273 0.766 O
0.273 0.766 0.273 O
0.744 0.204 0.744 O
0.744 0.744 0.204 O
0.766 0.273 0.273 O
0.776 0.776 0.776 O
```